[1]
Structure and computed powder XRD pattern of BaCaDySbO6 (a cell relaxed with GGA-PBE; Cu Kα X-rays).
Neutral-atom scattering factors, no anomalous dispersion.

a b c (Å): 5.948 5.948 5.948
angles (deg): 60.00 60.00 60.00
Sites, in units of the cell vectors:
Ba  0.000  0.000  0.000
Ca  0.500  0.500  0.500
Dy  0.250  0.250  0.250
Sb  0.750  0.750  0.750
O  0.512  0.512  0.988
O  0.512  0.988  0.512
O  0.512  0.988  0.988
O  0.988  0.512  0.512
O  0.988  0.512  0.988
O  0.988  0.988  0.512

Main lines, by intensity (2θ from 15° to 90°):
two_theta	d_spacing	Rel. int.
30.05	2.974	100
53.36	1.717	40
43.01	2.103	31
86.61	1.124	21
62.46	1.487	19
70.85	1.330	18
21.12	4.206	14
18.27	4.856	11
35.39	2.536	7
78.84	1.214	6

[2]
Structure and computed powder XRD pattern of YMg15 (a cell relaxed with GGA-PBE; Cu Kα X-rays).
Neutral-atom scattering factors, no anomalous dispersion.

a b c (Å): 6.524 6.524 10.323
angles (deg): 90.00 90.00 120.00
Sites, in units of the cell vectors:
Y  0.000  0.000  0.000
Mg  0.000  0.000  0.500
Mg  0.000  0.500  0.500
Mg  0.006  0.503  0.000
Mg  0.167  0.334  0.252
Mg  0.167  0.334  0.748
Mg  0.167  0.833  0.252
Mg  0.167  0.833  0.748
Mg  0.497  0.503  0.000
Mg  0.497  0.994  0.000
Mg  0.500  0.000  0.500
Mg  0.500  0.500  0.500
Mg  0.666  0.833  0.252
Mg  0.666  0.833  0.748
Mg  0.667  0.333  0.248
Mg  0.667  0.333  0.752

Main lines, by intensity (2θ from 15° to 90°):
two_theta	d_spacing	Rel. int.
36.25	2.478	100
31.67	2.825	25
34.76	2.581	25
67.99	1.379	19
63.29	1.469	18
56.41	1.631	18
47.73	1.905	16
17.90	4.956	14
68.92	1.362	14
15.68	5.650	10

Copy entry 2 word for word.
Structure and computed powder XRD pattern of YMg15 (a cell relaxed with GGA-PBE; Cu Kα X-rays).
Neutral-atom scattering factors, no anomalous dispersion.

a b c (Å): 6.524 6.524 10.323
angles (deg): 90.00 90.00 120.00
Sites, in units of the cell vectors:
Y  0.000  0.000  0.000
Mg  0.000  0.000  0.500
Mg  0.000  0.500  0.500
Mg  0.006  0.503  0.000
Mg  0.167  0.334  0.252
Mg  0.167  0.334  0.748
Mg  0.167  0.833  0.252
Mg  0.167  0.833  0.748
Mg  0.497  0.503  0.000
Mg  0.497  0.994  0.000
Mg  0.500  0.000  0.500
Mg  0.500  0.500  0.500
Mg  0.666  0.833  0.252
Mg  0.666  0.833  0.748
Mg  0.667  0.333  0.248
Mg  0.667  0.333  0.752

Main lines, by intensity (2θ from 15° to 90°):
two_theta	d_spacing	Rel. int.
36.25	2.478	100
31.67	2.825	25
34.76	2.581	25
67.99	1.379	19
63.29	1.469	18
56.41	1.631	18
47.73	1.905	16
17.90	4.956	14
68.92	1.362	14
15.68	5.650	10